Record 1
LiHI3: computed PXRD pattern (Cu Kα, 1.54184 Å), based on a crystal structure in Alexandria, relaxed with GGA-PBE.
No peak broadening, texture or thermal motion is included.

Atomic structure:
Cell lengths 4.3867, 5.7912, 14.5650 Å; angles 84.51, 86.91, 87.95 degrees
Fractional positions:
Li 0.0000 0.0000 0.0000
Li 0.4814 0.5254 0.9092
H 0.0480 0.7666 0.6748
H 0.4446 0.7576 0.2328
I 0.1620 0.5101 0.7199
I 0.3277 0.0142 0.1886
I 0.5165 0.0291 0.8760
I 0.7423 0.0059 0.4729
I 0.7479 0.5148 0.4350
I 0.9659 0.4961 0.0329

Top 6 peaks for 15° ≤ 2θ ≤ 90°, by angle:
- 2θ = 22.90°, I 82
- 2θ = 24.29°, I 100
- 2θ = 25.16°, I 96
- 2θ = 25.31°, I 47
- 2θ = 26.78°, I 92
- 2θ = 31.04°, I 68

Record 2
LiH2IO2: computed PXRD pattern (Cu Kα, 1.54184 Å), based on a crystal structure in Alexandria, relaxed with GGA-PBE.
No peak broadening, texture or thermal motion is included.

Atomic structure:
Cell lengths 4.9805, 4.6990, 7.3511 Å; angles 90.00, 100.70, 90.00 degrees
Fractional positions:
Li 0.0975 0.2500 0.0115
Li 0.9025 0.7500 0.9885
H 0.0257 0.2500 0.2650
H 0.0369 0.7500 0.2660
H 0.9631 0.2500 0.7340
H 0.9743 0.7500 0.7350
I 0.4712 0.2500 0.7556
I 0.5288 0.7500 0.2444
O 0.0240 0.5032 0.2230
O 0.0240 0.9968 0.2230
O 0.9760 0.0032 0.7770
O 0.9760 0.4968 0.7770

Top 6 peaks for 15° ≤ 2θ ≤ 90°, by angle:
- 2θ = 18.13°, I 33
- 2θ = 22.57°, I 100
- 2θ = 24.65°, I 63
- 2θ = 27.59°, I 54
- 2θ = 30.54°, I 47
- 2θ = 42.69°, I 25

Record 3
MgH8I2O10: computed PXRD pattern (Cu Kα, 1.54184 Å), based on a crystal structure in Alexandria, relaxed with GGA-PBE.
No peak broadening, texture or thermal motion is included.

Atomic structure:
Cell lengths 8.4195, 6.6681, 8.5718 Å; angles 90.00, 99.60, 90.00 degrees
Fractional positions:
Mg 0.0000 0.0000 0.0000
Mg 0.0000 0.5000 0.5000
H 0.0074 0.1208 0.3091
H 0.0074 0.3792 0.8091
H 0.1548 0.5021 0.2588
H 0.1548 0.9979 0.7588
H 0.2646 0.6137 0.7219
H 0.2646 0.8863 0.2219
H 0.2732 0.7211 0.5555
H 0.2732 0.7789 0.0555
H 0.7268 0.2211 0.9445
H 0.7268 0.2789 0.4445
H 0.7354 0.1137 0.7781
H 0.7354 0.3863 0.2781
H 0.8452 0.0021 0.2412
H 0.8452 0.4979 0.7412
H 0.9926 0.6208 0.1909
H 0.9926 0.8792 0.6909
I 0.3341 0.1766 0.5288
I 0.3341 0.3234 0.0288
I 0.6659 0.6766 0.9712
I 0.6659 0.8234 0.4712
O 0.0637 0.5776 0.2897
O 0.0637 0.9224 0.7897
O 0.1159 0.2196 0.4754
O 0.1159 0.2804 0.9754
O 0.2337 0.6004 0.6058
O 0.2337 0.8996 0.1058
O 0.3381 0.5771 0.9428
O 0.3381 0.9229 0.4428
O 0.3418 0.1163 0.7376
O 0.3418 0.3837 0.2376
O 0.6582 0.6163 0.7624
O 0.6582 0.8837 0.2624
O 0.6619 0.0771 0.5572
O 0.6619 0.4229 0.0572
O 0.7663 0.1004 0.8942
O 0.7663 0.3996 0.3942
O 0.8841 0.7196 0.0246
O 0.8841 0.7804 0.5246
O 0.9363 0.0776 0.2103
O 0.9363 0.4224 0.7103

Top 6 peaks for 15° ≤ 2θ ≤ 90°, by angle:
- 2θ = 17.06°, I 100
- 2θ = 21.01°, I 84
- 2θ = 25.25°, I 54
- 2θ = 25.74°, I 53
- 2θ = 30.14°, I 46
- 2θ = 32.35°, I 31

Record 4
MnH2I4: computed PXRD pattern (Cu Kα, 1.54184 Å), based on a crystal structure in Alexandria, relaxed with GGA-PBE.
No peak broadening, texture or thermal motion is included.

Atomic structure:
Cell lengths 4.2017, 6.9727, 8.0169 Å; angles 90.99, 90.83, 96.00 degrees
Fractional positions:
Mn 0.0000 0.0000 0.0000
H 0.2156 0.4577 0.7676
H 0.7844 0.5423 0.2324
I 0.0017 0.7438 0.3033
I 0.4639 0.7823 0.8407
I 0.5361 0.2177 0.1593
I 0.9983 0.2562 0.6967

Top 6 peaks for 15° ≤ 2θ ≤ 90°, by angle:
- 2θ = 25.46°, I 52
- 2θ = 25.70°, I 50
- 2θ = 25.89°, I 30
- 2θ = 26.20°, I 100
- 2θ = 28.11°, I 33
- 2θ = 28.59°, I 55

Record 5
Mn2H2I7: computed PXRD pattern (Cu Kα, 1.54184 Å), based on a crystal structure in Alexandria, relaxed with GGA-PBE.
No peak broadening, texture or thermal motion is included.

Atomic structure:
Cell lengths 7.1909, 7.3368, 9.0649 Å; angles 88.77, 82.10, 70.61 degrees
Fractional positions:
Mn 0.0000 0.0000 0.0000
Mn 0.3970 0.2570 0.0559
H 0.2090 0.5858 0.3937
H 0.9869 0.6579 0.6901
I 0.0928 0.1624 0.2367
I 0.1574 0.6131 0.9269
I 0.2995 0.0596 0.8198
I 0.4468 0.4900 0.3112
I 0.6903 0.9270 0.1586
I 0.7304 0.2925 0.8716
I 0.8810 0.7240 0.5366

Top 6 peaks for 15° ≤ 2θ ≤ 90°, by angle:
- 2θ = 23.69°, I 84
- 2θ = 24.41°, I 97
- 2θ = 24.73°, I 100
- 2θ = 27.04°, I 66
- 2θ = 28.46°, I 92
- 2θ = 33.59°, I 78

Record 6
Rb2MnHI6: computed PXRD pattern (Cu Kα, 1.54184 Å), based on a crystal structure in Alexandria, relaxed with GGA-PBE.
No peak broadening, texture or thermal motion is included.

Atomic structure:
Cell lengths 8.1484, 8.1484, 8.1484 Å; angles 122.69, 122.69, 85.40 degrees
Fractional positions:
Rb 0.2500 0.7500 0.5000
Rb 0.7500 0.2500 0.5000
Mn 0.0000 0.0000 0.0000
H 0.5000 0.5000 0.0000
I 0.2253 0.2253 0.0000
I 0.2502 0.2502 0.5004
I 0.2502 0.7498 0.0000
I 0.7498 0.2502 0.0000
I 0.7498 0.7498 0.4996
I 0.7747 0.7747 0.0000

Top 6 peaks for 15° ≤ 2θ ≤ 90°, by angle:
- 2θ = 27.25°, I 100
- 2θ = 29.84°, I 24
- 2θ = 32.40°, I 42
- 2θ = 44.63°, I 31
- 2θ = 54.72°, I 28
- 2θ = 71.76°, I 16

> Number 5 is which compound?

Mn2H2I7